This entry pairs a crystal structure of Cs3AuBr with its calculated XRD peak list. Radiation: Cu Kα (λ = 1.5418 Å). Structure: the PBE geometry in Alexandria.
Intensities are scaled so that the largest is 100.

Top 6 peaks for 15° ≤ 2θ ≤ 90°, sorted by position:
- 22.11 deg, I = 100
- 25.85 deg, I = 75
- 28.29 deg, I = 53
- 30.67 deg, I = 60
- 34.37 deg, I = 31
- 34.89 deg, I = 69

```
data_Cs3AuBr
_chemical_formula_sum 'Cs12 Au4 Br4'
_cell_length_a 5.219
_cell_length_b 26.773
_cell_length_c 8.919
_cell_angle_alpha 90.00
_cell_angle_beta 90.00
_cell_angle_gamma 90.00
_symmetry_space_group_name_H-M 'A m a 2'
_symmetry_Int_Tables_number 40
_symmetry_space_group_name_Hall 'A 2 -2a'
loop_
_atom_site_label
_atom_site_type_symbol
_atom_site_fract_x
_atom_site_fract_y
_atom_site_fract_z
Cs1 Cs 0.250 0.088 0.000
Cs2 Cs 0.250 0.250 0.332
Cs3 Cs 0.250 0.410 0.005
Au1 Au 0.250 0.334 0.667
Br1 Br 0.250 0.167 0.667
```